Record 1
# Ca4InAg3
Computed PXRD pattern, Cu Ka. Input: the GGA-PBE geometry in Alexandria.

Most intense lines, 10 to 90 degrees two-theta, low angle first:
Position (°2θ)  intensity
23.7  50
33.8  100
33.9  98
41.7  12
48.6  34
54.7  10
60.5  50
60.7  16
81.1  14
81.3  14

Crystal structure
Lattice parameters (Å, degrees): 9.151 9.151 9.151 33.72 33.72 33.72
Atoms (fractional coordinates):
Ca: 0.123 0.123 0.123
Ca: 0.373 0.373 0.373
Ca: 0.627 0.627 0.627
Ca: 0.877 0.877 0.877
In: 0.500 0.500 0.500
Ag: 0.000 0.000 0.000
Ag: 0.247 0.247 0.247
Ag: 0.753 0.753 0.753

=====

Record 2
# Er5Th3
Computed PXRD pattern, Cu Ka. Input: the GGA-PBE geometry in Alexandria.

Most intense lines, 10 to 90 degrees two-theta, low angle first:
Position (°2θ)  intensity
29.0  24
31.1  39
32.8  51
32.9  100
42.9  25
51.1  20
56.5  22
61.1  23
61.3  12
62.3  17

Crystal structure
Lattice parameters (Å, degrees): 3.556 5.757 12.394 90.00 90.00 90.00
Atoms (fractional coordinates):
Er: 0.000 0.000 0.000
Er: 0.000 0.000 0.498
Er: 0.000 0.500 0.336
Er: 0.500 0.000 0.249
Er: 0.500 0.500 0.085
Th: 0.000 0.500 0.829
Th: 0.500 0.000 0.752
Th: 0.500 0.500 0.587

=====

What did the second record say?
# Er5Th3
Computed PXRD pattern, Cu Ka. Input: the GGA-PBE geometry in Alexandria.

Most intense lines, 10 to 90 degrees two-theta, low angle first:
Position (°2θ)  intensity
29.0  24
31.1  39
32.8  51
32.9  100
42.9  25
51.1  20
56.5  22
61.1  23
61.3  12
62.3  17

Crystal structure
Lattice parameters (Å, degrees): 3.556 5.757 12.394 90.00 90.00 90.00
Atoms (fractional coordinates):
Er: 0.000 0.000 0.000
Er: 0.000 0.000 0.498
Er: 0.000 0.500 0.336
Er: 0.500 0.000 0.249
Er: 0.500 0.500 0.085
Th: 0.000 0.500 0.829
Th: 0.500 0.000 0.752
Th: 0.500 0.500 0.587